Structure and computed X-ray powder pattern of NaBiCSO7 (a GGA-PBE-relaxed structure; Cu Kα (λ = 1.5418 Å)).
Neutral-atom scattering factors, no anomalous dispersion.

The 10 most intense peaks (2θ = 5–70°), by intensity:
| hkl | d/Å | I (rel.) |
| --- | --- | --- |
| 0 0 1 | 9.424 | 100.0 |
| 0 1 1 | 5.656 | 74.3 |
| 1 1 0 | 4.450 | 59.0 |
| 1 0 -1 | 4.914 | 47.5 |
| 2 0 0 | 2.867 | 45.4 |
| 0 2 0 | 3.535 | 43.9 |
| 1 0 2 | 3.622 | 37.6 |
| 1 0 1 | 4.874 | 29.2 |
| 1 0 -2 | 3.655 | 25.2 |
| 1 1 -3 | 2.575 | 23.1 |

Cell lengths 5.727, 7.071, 9.425 Å; angles 90.00, 90.53, 90.00 degrees
Space group P2_1 (No. 4)
Inequivalent atoms, fractional coordinates:
Na 0.247 0.000 0.206 (multiplicity 2)
Bi 0.220 0.772 0.649 (multiplicity 2)
C 0.278 0.743 0.929 (multiplicity 2)
S 0.278 0.268 0.585 (multiplicity 2)
O 0.067 0.745 0.864 (multiplicity 2)
O 0.158 0.436 0.648 (multiplicity 2)
O 0.197 0.239 0.435 (multiplicity 2)
O 0.210 0.103 0.675 (multiplicity 2)
O 0.306 0.759 0.058 (multiplicity 2)
O 0.456 0.726 0.837 (multiplicity 2)
O 0.466 0.796 0.415 (multiplicity 2)